(1)
This entry pairs a crystal structure of Na3Cd9Ge2 with its computed powder X-ray diffraction pattern. Radiation: λ = 1.5418 Å (Cu Kα). Structure: a PBE-relaxed structure.
Kinematic intensities with the Lorentz-polarization factor, no thermal factor.

Principal peaks in the range 10° ≤ 2θ ≤ 80°, low angle first:
| 2theta | d (Å) | I (rel.) |
| --- | --- | --- |
| 15.84 | 5.596 | 38 |
| 20.10 | 4.419 | 58 |
| 32.60 | 2.746 | 100 |
| 32.78 | 2.732 | 30 |
| 33.60 | 2.667 | 32 |
| 35.14 | 2.554 | 36 |
| 37.40 | 2.405 | 70 |
| 37.89 | 2.375 | 95 |
| 42.11 | 2.146 | 73 |
| 64.83 | 1.438 | 32 |

Cell and atoms:
abc: 8.7344 8.7344 8.7344
angles: 148.04 100.31 88.43
Fractional coordinates of all 14 atoms:
1 Na 0.0000 0.0000 0.0000
2 Na 0.2877 0.2877 0.0000
3 Na 0.7123 0.7123 0.0000
4 Cd 0.0007 0.6287 0.3721
5 Cd 0.1325 0.8525 0.2800
6 Cd 0.2566 0.6287 0.6279
7 Cd 0.4275 0.1475 0.2800
8 Cd 0.5000 0.0000 0.5000
9 Cd 0.5725 0.8525 0.7200
10 Cd 0.7434 0.3713 0.3721
11 Cd 0.8675 0.1475 0.7200
12 Cd 0.9993 0.3713 0.6279
13 Ge 0.3412 0.5000 0.8412
14 Ge 0.6588 0.5000 0.1588

=====

(2)
This entry pairs a crystal structure of NaCd2Ge3O9 with its computed powder X-ray diffraction pattern. Radiation: λ = 1.5418 Å (Cu Kα). Structure: a PBE-relaxed structure.
Kinematic intensities with the Lorentz-polarization factor, no thermal factor.

Principal peaks in the range 10° ≤ 2θ ≤ 80°, low angle first:
| 2theta | d (Å) | I (rel.) |
| --- | --- | --- |
| 26.27 | 3.393 | 64 |
| 26.42 | 3.374 | 34 |
| 27.81 | 3.208 | 56 |
| 30.04 | 2.975 | 100 |
| 30.13 | 2.966 | 98 |
| 32.19 | 2.780 | 47 |
| 33.93 | 2.642 | 45 |
| 35.95 | 2.498 | 65 |
| 50.85 | 1.796 | 32 |
| 60.99 | 1.519 | 32 |

Cell and atoms:
abc: 7.1823 7.2690 8.1433
angles: 94.11 102.55 90.16
Fractional coordinates of all 30 atoms:
1 Na 0.2411 0.1495 0.4416
2 Na 0.7589 0.8505 0.5584
3 Cd 0.0862 0.6425 0.8531
4 Cd 0.4122 0.3670 0.1484
5 Cd 0.5878 0.6330 0.8516
6 Cd 0.9138 0.3575 0.1469
7 Ge 0.0924 0.1542 0.7903
8 Ge 0.2370 0.6407 0.4603
9 Ge 0.4452 0.8518 0.2074
10 Ge 0.5548 0.1482 0.7926
11 Ge 0.7630 0.3593 0.5397
12 Ge 0.9076 0.8458 0.2097
13 O 0.0165 0.0598 0.1916
14 O 0.0228 0.7722 0.4143
15 O 0.1115 0.3389 0.9441
16 O 0.2103 0.4375 0.3256
17 O 0.2936 0.6078 0.6757
18 O 0.3097 0.0816 0.7364
19 O 0.3258 0.0600 0.1623
20 O 0.3898 0.6704 0.0490
21 O 0.4183 0.7885 0.4112
22 O 0.5817 0.2115 0.5888
23 O 0.6102 0.3296 0.9510
24 O 0.6742 0.9400 0.8377
25 O 0.6903 0.9184 0.2636
26 O 0.7064 0.3922 0.3243
27 O 0.7897 0.5625 0.6744
28 O 0.8885 0.6611 0.0559
29 O 0.9772 0.2278 0.5857
30 O 0.9835 0.9402 0.8084

=====

(3)
This entry pairs a crystal structure of NaCdGePt with its computed powder X-ray diffraction pattern. Radiation: λ = 1.5418 Å (Cu Kα). Structure: a PBE-relaxed structure.
Kinematic intensities with the Lorentz-polarization factor, no thermal factor.

Principal peaks in the range 10° ≤ 2θ ≤ 80°, low angle first:
| 2theta | d (Å) | I (rel.) |
| --- | --- | --- |
| 18.84 | 4.709 | 65 |
| 24.21 | 3.676 | 62 |
| 34.65 | 2.589 | 96 |
| 39.73 | 2.269 | 49 |
| 41.07 | 2.198 | 100 |
| 45.55 | 1.992 | 41 |
| 54.79 | 1.676 | 25 |
| 57.35 | 1.607 | 21 |
| 70.70 | 1.333 | 23 |
| 74.25 | 1.277 | 33 |

Cell and atoms:
abc: 5.3494 5.3494 5.3494
angles: 48.52 48.52 48.52
Fractional coordinates of all 4 atoms:
1 Na 0.0000 0.0000 0.0000
2 Cd 0.2268 0.2268 0.2268
3 Ge 0.7772 0.7772 0.7772
4 Pt 0.4519 0.4519 0.4519

=====

(4)
This entry pairs a crystal structure of Pm2CdNi3Ge4 with its computed powder X-ray diffraction pattern. Radiation: λ = 1.5418 Å (Cu Kα). Structure: a PBE-relaxed structure.
Kinematic intensities with the Lorentz-polarization factor, no thermal factor.

Principal peaks in the range 10° ≤ 2θ ≤ 80°, low angle first:
| 2theta | d (Å) | I (rel.) |
| --- | --- | --- |
| 30.08 | 2.971 | 10 |
| 33.98 | 2.638 | 45 |
| 34.98 | 2.565 | 100 |
| 43.06 | 2.100 | 53 |
| 49.81 | 1.831 | 19 |
| 55.96 | 1.643 | 21 |
| 62.54 | 1.485 | 17 |
| 63.16 | 1.472 | 10 |
| 67.92 | 1.380 | 14 |
| 73.71 | 1.285 | 22 |

Cell and atoms:
abc: 4.2010 4.2010 10.1699
angles: 90.00 90.00 90.00
Fractional coordinates of all 10 atoms:
1 Pm 0.0000 0.5000 0.2361
2 Pm 0.5000 0.0000 0.7639
3 Cd 0.0000 0.0000 0.5000
4 Ni 0.0000 0.5000 0.8864
5 Ni 0.5000 0.0000 0.1136
6 Ni 0.5000 0.5000 0.5000
7 Ge 0.0000 0.0000 0.0000
8 Ge 0.0000 0.5000 0.6561
9 Ge 0.5000 0.0000 0.3439
10 Ge 0.5000 0.5000 0.0000